Sr4MgCr2S2O6: theoretical PXRD pattern (copper Kα), based on DFT lattice parameters and positions (GGA+U).
Neutral-atom scattering factors, no anomalous dispersion.

Structure:
```
Sr4MgCr2S2O6
1.0
3.9461 0.0000 0.0000
0.0000 3.9461 0.0000
0.0000 0.0000 15.9504
Sr Mg Cr S O
4 1 2 2 6
Direct
0.0000 0.5000 0.0855
0.0000 0.5000 0.3085
0.5000 0.0000 0.6915
0.5000 0.0000 0.9145
0.0000 0.0000 0.5000
0.0000 0.5000 0.8110
0.5000 0.0000 0.1890
0.0000 0.5000 0.5968
0.5000 0.0000 0.4032
0.0000 0.0000 0.2080
0.0000 0.0000 0.7920
0.0000 0.5000 0.9315
0.5000 0.0000 0.0685
0.5000 0.5000 0.2070
0.5000 0.5000 0.7930
```

Largest 12 diffraction maxima, in order of rising 2θ, 2θ = 10–80°:
index, two_theta, intensity
0 0 2, 11.09, 20
1 0 1, 23.22, 12
1 0 4, 31.91, 100
1 1 0, 32.08, 55
1 0 6, 40.93, 21
1 1 5, 43.07, 10
2 0 0, 46.00, 37
1 1 8, 56.75, 12
2 1 4, 57.07, 36
2 1 6, 63.25, 11
2 2 0, 67.09, 11
3 0 4, 76.19, 11